Record 1
This entry pairs a crystal structure of ScGeTe3 with its theoretical X-ray diffraction stick pattern. Radiation: Cu Kα (weighted mean of Kα1 and Kα2). Structure: a cell relaxed with GGA-PBE.
Peak positions follow from Bragg's law for the DFT cell and can differ from measured ones.

Structure:
Cell: 7.135 4.222 10.004 Å, 90.00 97.50 90.00°
Element x y z (fractional)
Sc1 0.127 0.250 0.147
Sc2 0.873 0.750 0.853
Ge1 0.290 0.250 0.535
Ge2 0.710 0.750 0.465
Te1 0.055 0.750 0.342
Te2 0.253 0.750 0.983
Te3 0.482 0.750 0.689
Te4 0.518 0.250 0.311
Te5 0.747 0.250 0.017
Te6 0.945 0.250 0.658

Top 6 peaks for 2θ from 10° to 90°, sorted by position:
3.334 Å, 26.74°, intensity 1000; 3.076 Å, 29.03°, intensity 507; 3.025 Å, 29.53°, intensity 445; 2.529 Å, 35.50°, intensity 431; 2.112 Å, 42.82°, intensity 388; 2.063 Å, 43.89°, intensity 522


Record 2
This entry pairs a crystal structure of Na5B6C4 with its theoretical X-ray diffraction stick pattern. Radiation: Cu Kα (weighted mean of Kα1 and Kα2). Structure: a cell relaxed with GGA-PBE.
Peak positions follow from Bragg's law for the DFT cell and can differ from measured ones.

Structure:
Cell: 7.602 7.602 10.266 Å, 122.04 122.04 37.73°
Element x y z (fractional)
Na1 0.000 0.000 0.248
Na2 0.000 0.000 0.752
Na3 0.198 0.200 0.247
Na4 0.201 0.201 0.752
Na5 0.399 0.399 0.247
Na6 0.400 0.402 0.753
Na7 0.598 0.600 0.247
Na8 0.601 0.601 0.753
Na9 0.799 0.799 0.248
Na10 0.800 0.802 0.753
B1 0.021 0.381 0.500
B2 0.034 0.366 0.000
B3 0.163 0.837 0.500
B4 0.235 0.566 0.001
B5 0.384 0.002 0.500
B6 0.434 0.765 0.999
B7 0.570 0.241 0.500
B8 0.619 0.979 0.500
B9 0.634 0.966 0.000
B10 0.759 0.430 0.500
B11 0.834 0.166 0.000
B12 0.998 0.616 0.500
C1 0.168 0.832 0.000
C2 0.233 0.576 0.500
C3 0.367 0.032 0.999
C4 0.424 0.767 0.500
C5 0.568 0.233 0.001
C6 0.767 0.432 0.999
C7 0.829 0.171 0.500
C8 0.968 0.633 0.001

Top 6 peaks for 2θ from 10° to 90°, sorted by position:
2.483 Å, 36.17°, intensity 191; 2.144 Å, 42.14°, intensity 1000; 2.127 Å, 42.51°, intensity 910; 1.424 Å, 65.56°, intensity 171; 1.192 Å, 80.62°, intensity 203; 1.183 Å, 81.34°, intensity 170


Record 3
This entry pairs a crystal structure of NaPr3Ir8 with its theoretical X-ray diffraction stick pattern. Radiation: Cu Kα (weighted mean of Kα1 and Kα2). Structure: a cell relaxed with GGA-PBE.
Peak positions follow from Bragg's law for the DFT cell and can differ from measured ones.

Structure:
Cell: 9.395 9.395 9.395 Å, 33.54 33.54 33.54°
Element x y z (fractional)
Na1 0.000 0.000 0.000
Pr1 0.121 0.121 0.121
Pr2 0.502 0.502 0.502
Pr3 0.630 0.630 0.630
Ir1 0.064 0.064 0.565
Ir2 0.064 0.565 0.064
Ir3 0.065 0.563 0.563
Ir4 0.314 0.314 0.314
Ir5 0.563 0.065 0.563
Ir6 0.563 0.563 0.065
Ir7 0.565 0.064 0.064
Ir8 0.814 0.814 0.814

Top 6 peaks for 2θ from 10° to 90°, sorted by position:
4.428 Å, 20.05°, intensity 302; 2.312 Å, 38.95°, intensity 1000; 2.214 Å, 40.75°, intensity 588; 1.476 Å, 62.97°, intensity 325; 1.356 Å, 69.31°, intensity 306; 1.156 Å, 83.63°, intensity 229


Record 4
This entry pairs a crystal structure of Ti2Nb5Ga5 with its theoretical X-ray diffraction stick pattern. Radiation: Cu Kα (weighted mean of Kα1 and Kα2). Structure: a cell relaxed with GGA-PBE.
Peak positions follow from Bragg's law for the DFT cell and can differ from measured ones.

Structure:
Cell: 6.609 6.609 9.483 Å, 110.96 110.96 31.72°
Element x y z (fractional)
Ti1 0.079 0.079 0.244
Ti2 0.921 0.921 0.756
Nb1 0.334 0.334 0.494
Nb2 0.405 0.405 0.254
Nb3 0.500 0.500 0.000
Nb4 0.595 0.595 0.746
Nb5 0.666 0.666 0.506
Ga1 0.000 0.000 0.500
Ga2 0.167 0.167 0.997
Ga3 0.265 0.265 0.755
Ga4 0.735 0.735 0.245
Ga5 0.833 0.833 0.003

Top 6 peaks for 2θ from 10° to 90°, sorted by position:
2.386 Å, 37.70°, intensity 1000; 2.276 Å, 39.59°, intensity 869; 2.201 Å, 41.01°, intensity 399; 2.112 Å, 42.81°, intensity 325; 1.806 Å, 50.54°, intensity 215; 1.396 Å, 67.04°, intensity 176


Record 5
This entry pairs a crystal structure of CuHgSI with its theoretical X-ray diffraction stick pattern. Radiation: Cu Kα (weighted mean of Kα1 and Kα2). Structure: a cell relaxed with GGA-PBE.
Peak positions follow from Bragg's law for the DFT cell and can differ from measured ones.

Structure:
Cell: 7.225 8.555 7.088 Å, 90.00 90.00 90.00°
Element x y z (fractional)
Cu1 0.087 0.148 0.000
Cu2 0.413 0.648 0.500
Cu3 0.587 0.352 0.000
Cu4 0.913 0.852 0.500
Hg1 0.040 0.560 0.901
Hg2 0.460 0.060 0.401
Hg3 0.540 0.940 0.901
Hg4 0.960 0.440 0.401
S1 0.108 0.655 0.579
S2 0.392 0.155 0.079
S3 0.608 0.845 0.579
S4 0.892 0.345 0.079
I1 0.079 0.118 0.616
I2 0.421 0.618 0.116
I3 0.579 0.382 0.616
I4 0.921 0.882 0.116

Top 6 peaks for 2θ from 10° to 90°, sorted by position:
3.681 Å, 24.18°, intensity 331; 3.612 Å, 24.64°, intensity 568; 3.267 Å, 27.30°, intensity 655; 2.982 Å, 29.96°, intensity 1000; 2.649 Å, 33.84°, intensity 452; 1.988 Å, 45.63°, intensity 348


Record 6
This entry pairs a crystal structure of AcHo7Tm2 with its theoretical X-ray diffraction stick pattern. Radiation: Cu Kα (weighted mean of Kα1 and Kα2). Structure: a cell relaxed with GGA-PBE.
Peak positions follow from Bragg's law for the DFT cell and can differ from measured ones.

Structure:
Cell: 9.490 9.490 9.490 Å, 146.78 136.25 56.02°
Element x y z (fractional)
Ac1 0.000 0.000 0.000
Ho1 0.143 0.388 0.755
Ho2 0.204 0.204 0.000
Ho3 0.368 0.612 0.755
Ho4 0.500 0.000 0.500
Ho5 0.632 0.388 0.245
Ho6 0.796 0.796 0.000
Ho7 0.857 0.612 0.245
Tm1 0.301 0.801 0.500
Tm2 0.699 0.199 0.500

Top 6 peaks for 2θ from 10° to 90°, sorted by position:
2.917 Å, 30.65°, intensity 909; 2.851 Å, 31.37°, intensity 1000; 2.713 Å, 33.02°, intensity 464; 2.702 Å, 33.15°, intensity 482; 1.914 Å, 47.49°, intensity 357; 1.503 Å, 61.74°, intensity 292


Record 7
This entry pairs a crystal structure of Pu5Te4As with its theoretical X-ray diffraction stick pattern. Radiation: Cu Kα (weighted mean of Kα1 and Kα2). Structure: a cell relaxed with GGA-PBE.
Peak positions follow from Bragg's law for the DFT cell and can differ from measured ones.

Structure:
Cell: 15.851 15.851 15.851 Å, 164.13 164.13 22.52°
Element x y z (fractional)
Pu1 0.000 0.000 0.000
Pu2 0.201 0.201 0.000
Pu3 0.406 0.406 0.000
Pu4 0.594 0.594 0.000
Pu5 0.799 0.799 0.000
Te1 0.100 0.100 0.000
Te2 0.302 0.302 0.000
Te3 0.698 0.698 0.000
Te4 0.900 0.900 0.000
As1 0.500 0.500 0.000

Top 6 peaks for 2θ from 10° to 90°, sorted by position:
3.579 Å, 24.88°, intensity 314; 3.109 Å, 28.71°, intensity 494; 3.095 Å, 28.85°, intensity 1000; 2.193 Å, 41.16°, intensity 741; 2.188 Å, 41.26°, intensity 387; 1.789 Å, 51.04°, intensity 406


Record 8
This entry pairs a crystal structure of LaCu2H8Pt with its theoretical X-ray diffraction stick pattern. Radiation: Cu Kα (weighted mean of Kα1 and Kα2). Structure: a cell relaxed with GGA-PBE.
Peak positions follow from Bragg's law for the DFT cell and can differ from measured ones.

Structure:
Cell: 4.537 4.640 5.396 Å, 89.90 86.51 89.92°
Element x y z (fractional)
La1 0.000 0.000 0.000
Cu1 0.498 0.501 0.774
Cu2 0.502 0.499 0.226
H1 0.124 0.499 0.800
H2 0.241 0.239 0.392
H3 0.241 0.761 0.393
H4 0.500 0.228 0.000
H5 0.500 0.772 0.000
H6 0.759 0.239 0.607
H7 0.759 0.761 0.608
H8 0.876 0.501 0.200
Pt1 0.000 0.500 0.500

Top 6 peaks for 2θ from 10° to 90°, sorted by position:
4.640 Å, 19.13°, intensity 401; 3.515 Å, 25.34°, intensity 1000; 2.832 Å, 31.59°, intensity 719; 2.725 Å, 32.87°, intensity 682; 2.379 Å, 37.81°, intensity 404; 2.320 Å, 38.82°, intensity 373


Record 9
This entry pairs a crystal structure of Nd2SiGe4Pd3 with its theoretical X-ray diffraction stick pattern. Radiation: Cu Kα (weighted mean of Kα1 and Kα2). Structure: a cell relaxed with GGA-PBE.
Peak positions follow from Bragg's law for the DFT cell and can differ from measured ones.

Structure:
Cell: 4.326 4.326 10.346 Å, 90.00 90.00 90.00°
Element x y z (fractional)
Nd1 0.000 0.500 0.249
Nd2 0.500 0.000 0.751
Si1 0.000 0.000 0.500
Ge1 0.000 0.000 0.000
Ge2 0.000 0.500 0.635
Ge3 0.500 0.000 0.365
Ge4 0.500 0.500 0.000
Pd1 0.000 0.500 0.871
Pd2 0.500 0.000 0.129
Pd3 0.500 0.500 0.500

Top 6 peaks for 2θ from 10° to 90°, sorted by position:
2.697 Å, 33.22°, intensity 791; 2.633 Å, 34.05°, intensity 1000; 2.163 Å, 41.76°, intensity 687; 1.867 Å, 48.79°, intensity 352; 1.687 Å, 54.37°, intensity 386; 1.413 Å, 66.12°, intensity 279


Record 10
This entry pairs a crystal structure of ThHBr3 with its theoretical X-ray diffraction stick pattern. Radiation: Cu Kα (weighted mean of Kα1 and Kα2). Structure: a cell relaxed with GGA-PBE.
Peak positions follow from Bragg's law for the DFT cell and can differ from measured ones.

Structure:
Cell: 13.357 13.357 4.508 Å, 90.00 90.00 90.00°
Element x y z (fractional)
Th1 0.122 0.122 0.000
Th2 0.378 0.622 0.500
Th3 0.622 0.378 0.500
Th4 0.878 0.878 0.000
H1 0.110 0.110 0.500
H2 0.390 0.610 0.000
H3 0.610 0.390 0.000
H4 0.890 0.890 0.500
Br1 0.099 0.901 0.000
Br2 0.104 0.324 0.000
Br3 0.176 0.604 0.500
Br4 0.324 0.104 0.000
Br5 0.396 0.824 0.500
Br6 0.401 0.401 0.500
Br7 0.599 0.599 0.500
Br8 0.604 0.176 0.500
Br9 0.676 0.896 0.000
Br10 0.824 0.396 0.500
Br11 0.896 0.676 0.000
Br12 0.901 0.099 0.000

Top 6 peaks for 2θ from 10° to 90°, sorted by position:
5.973 Å, 14.83°, intensity 647; 4.271 Å, 20.80°, intensity 1000; 4.068 Å, 21.85°, intensity 388; 3.339 Å, 26.70°, intensity 621; 2.631 Å, 34.08°, intensity 355; 2.298 Å, 39.20°, intensity 542